[1]
Starting from a crystal structure in Alexandria, relaxed with GGA-PBE, the powder X-ray diffraction pattern of LaCeInPb was calculated for Cu Ka.
Neutral-atom scattering factors, no anomalous dispersion.

Structural model:
a = 5.0957 Å, b = 5.0957 Å, c = 9.2422 Å
α = 90.00°, β = 90.00°, γ = 90.00°
Space group I-4m2 (No. 119)
Asymmetric unit:
La  0.0000  0.0000  0.0000 x2
Ce  0.0000  0.0000  0.5000 x2
In  0.0000  0.5000  0.7500 x2
Pb  0.0000  0.5000  0.2500 x2

Top 10 peaks for 15 to 90 degrees two-theta, in order of rising 2θ:
- hkl 1 1 2, 2θ 31.48, I = 100
- hkl 2 0 0, 2θ 35.22, I = 37
- hkl 0 0 4, 2θ 38.98, I = 14
- hkl 2 2 0, 2θ 50.67, I = 13
- hkl 2 0 4, 2θ 53.54, I = 22
- hkl 3 1 2, 2θ 60.88, I = 30
- hkl 2 2 4, 2θ 65.72, I = 12
- hkl 1 1 6, 2θ 65.95, I = 12
- hkl 3 3 2, 2θ 83.09, I = 6
- hkl 3 1 6, 2θ 87.63, I = 12

[2]
Starting from a crystal structure in Alexandria, relaxed with GGA-PBE, the powder X-ray diffraction pattern of LaCePr2In4 was calculated for Cu Ka.
Neutral-atom scattering factors, no anomalous dispersion.

Structural model:
a = 5.5284 Å, b = 5.5284 Å, c = 27.1068 Å
α = 90.00°, β = 90.00°, γ = 120.00°
Space group R-3m (No. 166, hexagonal axes)
Asymmetric unit:
La  0.0000  0.0000  0.0000 x3
Ce  0.0000  0.0000  0.5000 x3
Pr  0.0000  0.0000  0.2502 x6
In  0.0000  0.0000  0.1259 x6
In  0.0000  0.0000  0.3759 x6

Top 7 peaks for 15 to 90 degrees two-theta, in order of rising 2θ:
- hkl 1 0 4, 2θ 22.74, I = 1
- hkl 1 1 0, 2θ 32.38, I = 100
- hkl 2 0 8, 2θ 46.45, I = 18
- hkl 3 0 0, 2θ 57.75, I = 37
- hkl 2 2 0, 2θ 67.78, I = 11
- hkl 3 1 8, 2θ 77.14, I = 16
- hkl 0 4 8, 2θ 86.15, I = 4

What did the first record say?
Starting from a crystal structure in Alexandria, relaxed with GGA-PBE, the powder X-ray diffraction pattern of LaCeInPb was calculated for Cu Ka.
Neutral-atom scattering factors, no anomalous dispersion.

Structural model:
a = 5.0957 Å, b = 5.0957 Å, c = 9.2422 Å
α = 90.00°, β = 90.00°, γ = 90.00°
Space group I-4m2 (No. 119)
Asymmetric unit:
La  0.0000  0.0000  0.0000 x2
Ce  0.0000  0.0000  0.5000 x2
In  0.0000  0.5000  0.7500 x2
Pb  0.0000  0.5000  0.2500 x2

Top 10 peaks for 15 to 90 degrees two-theta, in order of rising 2θ:
- hkl 1 1 2, 2θ 31.48, I = 100
- hkl 2 0 0, 2θ 35.22, I = 37
- hkl 0 0 4, 2θ 38.98, I = 14
- hkl 2 2 0, 2θ 50.67, I = 13
- hkl 2 0 4, 2θ 53.54, I = 22
- hkl 3 1 2, 2θ 60.88, I = 30
- hkl 2 2 4, 2θ 65.72, I = 12
- hkl 1 1 6, 2θ 65.95, I = 12
- hkl 3 3 2, 2θ 83.09, I = 6
- hkl 3 1 6, 2θ 87.63, I = 12